# Nd2Zn2Ga3
Computed powder diffractogram, copper Kα. Input: a DFT-relaxed cell (PBE, Alexandria).

Most intense lines, 10° ≤ 2θ ≤ 90°, in order of rising 2θ:
two_theta	I_rel
30.99	17
32.85	74
33.59	100
37.92	17
40.72	35
43.03	32
52.03	12
54.82	16
60.73	23
75.15	14

Structure:
```
data_Nd2Zn2Ga3
_cell_length_a 9.7463
_cell_length_b 9.7463
_cell_length_c 7.0338
_cell_angle_alpha 90.00
_cell_angle_beta 90.00
_cell_angle_gamma 153.72
_space_group_name_H-M_alt 'P 1'
_space_group_IT_number 1
loop_
_space_group_symop_operation_xyz
'x,y,z'
loop_
_atom_site_label
_atom_site_fract_x
_atom_site_fract_y
_atom_site_fract_z
Nd1 0.0506 0.9494 0.7500
Nd2 0.1596 0.8404 0.2500
Nd3 0.8404 0.1596 0.7500
Nd4 0.9494 0.0506 0.2500
Zn1 0.3169 0.6831 0.0649
Zn2 0.3169 0.6831 0.4351
Zn3 0.6831 0.3169 0.5649
Zn4 0.6831 0.3169 0.9351
Ga1 0.2227 0.7773 0.7500
Ga2 0.4406 0.5594 0.5725
Ga3 0.4406 0.5594 0.9275
Ga4 0.5594 0.4406 0.0725
Ga5 0.5594 0.4406 0.4275
Ga6 0.7773 0.2227 0.2500
```